[1]
# ZrCu2Cl6
Simulated powder XRD pattern, Cu Kα, 1.54184 Å. Input: a DFT-relaxed cell (PBE, OQMD).
Lines closer than 0.1° are merged.

Cell and atoms:
```
ZrCu2Cl6
1.0
11.004 0.000 0.000
-5.502 9.529 0.000
0.000 0.000 6.053
Zr Cu Cl
3 6 18
Cartesian
0.000 0.000 0.000
0.000 6.353 3.083
5.502 3.176 2.970
0.000 4.164 5.508
-1.896 7.448 5.508
3.606 2.082 0.545
1.896 7.448 5.508
7.398 2.082 0.545
5.502 5.366 0.545
0.000 2.047 4.621
-3.729 8.506 4.621
-1.818 5.303 4.577
1.773 1.024 1.431
0.000 4.289 1.738
-1.787 7.385 1.738
1.818 5.303 4.577
0.000 8.452 4.577
3.715 2.145 4.315
1.787 7.385 1.738
5.502 1.078 1.475
3.684 4.226 1.475
7.289 2.145 4.315
5.502 5.240 4.315
3.729 8.506 4.621
7.319 4.226 1.475
9.231 1.024 1.431
5.502 7.482 1.431
```

The 8 most intense peaks (10 to 90 degrees two-theta), sorted by position:
2theta  d/Å  I_rel
16.1  5.502  67.0
17.4  5.109  51.6
24.7  3.602  34.2
28.8  3.095  100.0
31.8  2.813  61.2
41.2  2.191  57.0
49.7  1.834  70.2
53.8  1.703  45.2

[2]
# DyCl3
Simulated powder XRD pattern, Cu Kα, 1.54184 Å. Input: a DFT-relaxed cell (PBE, OQMD).
Lines closer than 0.1° are merged.

Cell and atoms:
```
DyCl3
1.0
6.869 0.000 0.000
0.000 9.169 0.000
0.000 0.000 6.087
Dy Cl
4 12
Cartesian
0.853 2.292 0.333
2.581 6.877 3.376
4.288 2.292 2.711
6.015 6.877 5.754
0.286 6.877 2.062
1.133 5.237 5.019
1.133 8.516 5.019
2.302 0.652 1.976
2.302 3.932 1.976
3.149 2.292 5.106
3.720 6.877 0.981
4.567 5.237 4.111
4.567 8.516 4.111
5.736 0.652 1.068
5.736 3.932 1.068
6.583 2.292 4.025
```

The 8 most intense peaks (10 to 90 degrees two-theta), sorted by position:
2theta  d/Å  I_rel
19.4  4.584  77.0
19.5  4.556  74.2
21.8  4.080  100.0
27.7  3.216  36.5
33.7  2.663  46.4
35.4  2.537  84.6
39.5  2.283  45.7
40.8  2.211  43.8

[3]
# DyErFe2Cl2
Simulated powder XRD pattern, Cu Kα, 1.54184 Å. Input: a DFT-relaxed cell (PBE, OQMD).
Lines closer than 0.1° are merged.

Cell and atoms:
```
DyErFe2Cl2
1.0
3.785 0.000 0.000
-1.892 3.278 0.000
0.000 0.000 11.025
Dy Er Fe Cl
1 1 2 2
Cartesian
0.000 0.000 0.000
0.000 0.000 3.983
0.000 2.185 2.112
1.892 1.093 1.905
0.000 2.185 9.283
1.892 1.093 5.702
```

The 8 most intense peaks (10 to 90 degrees two-theta), sorted by position:
2theta  d/Å  I_rel
27.2  3.278  34.3
31.8  2.817  60.7
36.7  2.446  100.0
48.1  1.892  36.1
49.8  1.830  14.5
62.0  1.497  21.1
71.6  1.318  17.0
82.1  1.174  19.0

[4]
# DyErNCl2
Simulated powder XRD pattern, Cu Kα, 1.54184 Å. Input: a DFT-relaxed cell (PBE, OQMD).
Lines closer than 0.1° are merged.

Cell and atoms:
```
DyErNCl2
1.0
3.569 0.000 0.000
-1.784 3.091 0.000
0.000 0.000 10.006
Dy Er N Cl
1 1 1 2
Cartesian
0.000 0.000 0.000
1.784 1.030 7.423
0.000 2.060 8.677
0.000 0.000 5.665
1.784 1.030 1.785
```

The 8 most intense peaks (10 to 90 degrees two-theta), sorted by position:
2theta  d/Å  I_rel
28.9  3.091  25.0
30.3  2.953  36.4
34.1  2.629  100.0
39.8  2.267  35.2
51.2  1.784  24.3
54.6  1.680  17.0
63.0  1.476  16.5
85.3  1.138  14.5

[5]
# DyErS2Cl2
Simulated powder XRD pattern, Cu Kα, 1.54184 Å. Input: a DFT-relaxed cell (PBE, OQMD).
Lines closer than 0.1° are merged.

Cell and atoms:
```
DyErS2Cl2
1.0
3.974 0.000 0.000
0.000 5.332 0.000
0.000 0.000 8.393
Dy Er S Cl
1 1 2 2
Cartesian
0.000 0.000 0.000
1.987 2.666 2.333
0.000 2.666 0.472
1.987 0.000 1.896
0.000 2.666 4.084
1.987 0.000 6.616
```

The 8 most intense peaks (10 to 90 degrees two-theta), sorted by position:
2theta  d/Å  I_rel
10.5  8.393  100.0
19.7  4.501  74.0
24.8  3.592  28.0
30.0  2.979  25.9
31.0  2.885  64.2
33.6  2.666  27.7
43.0  2.101  41.2
46.4  1.958  40.5

[6]
# DyTmGeCl2
Simulated powder XRD pattern, Cu Kα, 1.54184 Å. Input: a DFT-relaxed cell (PBE, OQMD).
Lines closer than 0.1° are merged.

Cell and atoms:
```
DyTmGeCl2
1.0
4.047 0.000 0.000
-2.023 3.505 0.000
0.000 0.000 9.578
Dy Tm Ge Cl
1 1 1 2
Cartesian
0.000 0.000 0.000
0.000 2.336 6.376
2.023 1.168 7.959
0.000 0.000 4.830
0.000 2.336 1.568
```

The 8 most intense peaks (10 to 90 degrees two-theta), sorted by position:
2theta  d/Å  I_rel
27.1  3.291  44.5
31.6  2.828  100.0
38.1  2.360  21.0
44.8  2.023  35.4
45.9  1.978  48.1
55.9  1.646  19.3
74.3  1.277  16.5
83.4  1.159  14.8

[7]
# DyHoNCl3
Simulated powder XRD pattern, Cu Kα, 1.54184 Å. Input: a DFT-relaxed cell (PBE, OQMD).
Lines closer than 0.1° are merged.

Cell and atoms:
```
DyHoNCl3
1.0
8.278 -1.910 0.000
8.278 1.910 0.000
-5.814 0.000 9.103
Dy Ho N Cl
2 2 2 6
Cartesian
-1.281 0.000 4.153
12.024 0.000 4.950
4.787 0.000 1.889
5.957 0.000 7.214
-2.551 0.000 5.984
13.294 0.000 3.119
2.700 0.000 0.112
2.409 0.000 3.499
3.199 0.000 6.839
7.545 0.000 2.263
8.335 0.000 5.604
8.044 0.000 8.991
```

The 8 most intense peaks (10 to 90 degrees two-theta), sorted by position:
2theta  d/Å  I_rel
11.1  7.991  100.0
25.5  3.488  17.0
27.4  3.258  57.0
28.9  3.086  35.9
33.4  2.680  46.2
34.3  2.616  27.1
36.0  2.496  24.6
45.5  1.994  19.3

[8]
# DyHoSbCl2
Simulated powder XRD pattern, Cu Kα, 1.54184 Å. Input: a DFT-relaxed cell (PBE, OQMD).
Lines closer than 0.1° are merged.

Cell and atoms:
```
DyHoSbCl2
1.0
4.149 0.000 0.000
-2.074 3.593 0.000
0.000 0.000 10.489
Dy Ho Sb Cl
1 1 1 2
Cartesian
0.000 0.000 0.000
0.000 2.395 3.522
2.074 1.198 1.771
0.000 0.000 5.040
0.000 2.395 8.964
```

The 8 most intense peaks (10 to 90 degrees two-theta), sorted by position:
2theta  d/Å  I_rel
26.2  3.399  39.0
30.2  2.964  100.0
35.8  2.506  29.5
42.7  2.118  38.4
43.6  2.074  35.6
44.5  2.035  16.6
54.0  1.700  18.9
71.8  1.315  15.9

[9]
# Dy2I2NCl
Simulated powder XRD pattern, Cu Kα, 1.54184 Å. Input: a DFT-relaxed cell (PBE, OQMD).
Lines closer than 0.1° are merged.

Cell and atoms:
```
Dy2I2NCl
1.0
8.948 -1.975 0.000
8.948 1.975 0.000
-6.094 0.000 9.714
Dy I N Cl
4 4 2 2
Cartesian
-1.421 0.000 4.495
5.317 0.000 2.171
6.486 0.000 7.543
13.224 0.000 5.219
2.774 0.000 0.247
3.297 0.000 7.417
8.506 0.000 2.297
9.029 0.000 9.467
-2.735 0.000 6.334
14.538 0.000 3.380
3.002 0.000 3.808
8.801 0.000 5.906
```

The 8 most intense peaks (10 to 90 degrees two-theta), sorted by position:
2theta  d/Å  I_rel
10.3  8.585  82.6
26.2  3.405  33.5
27.7  3.221  96.6
31.5  2.842  100.0
31.7  2.826  67.2
33.9  2.644  35.4
42.3  2.134  41.5
56.8  1.622  37.3

[10]
# DyInCl6
Simulated powder XRD pattern, Cu Kα, 1.54184 Å. Input: a DFT-relaxed cell (PBE, OQMD).
Lines closer than 0.1° are merged.

Cell and atoms:
```
DyInCl6
1.0
3.334 -5.794 0.000
3.334 5.794 0.000
-2.252 0.000 6.075
Dy In Cl
1 1 6
Cartesian
0.000 0.000 0.000
3.334 -1.963 0.000
0.949 1.982 1.482
-0.037 -0.186 4.613
1.233 -1.857 1.449
3.468 1.982 4.594
4.453 -0.186 1.462
3.183 -1.857 4.627
```

The 8 most intense peaks (10 to 90 degrees two-theta), sorted by position:
2theta  d/Å  I_rel
14.6  6.075  83.2
15.3  5.794  21.4
16.1  5.503  39.9
18.1  4.890  28.4
27.1  3.285  50.9
33.3  2.693  100.0
47.2  1.927  21.6
48.3  1.885  20.6

[11]
# KDyCl3
Simulated powder XRD pattern, Cu Kα, 1.54184 Å. Input: a DFT-relaxed cell (PBE, OQMD).
Lines closer than 0.1° are merged.

Cell and atoms:
```
KDyCl3
1.0
-3.645 3.748 5.326
3.645 -3.748 5.326
3.645 3.748 -5.326
K Dy Cl
2 2 6
Cartesian
0.000 0.000 2.663
0.000 0.000 7.989
3.645 0.000 0.000
0.000 3.748 0.000
1.431 1.493 0.000
3.645 0.000 2.663
5.076 2.255 0.000
-1.431 1.493 5.326
0.000 3.748 2.663
2.214 2.255 5.326
```

The 8 most intense peaks (10 to 90 degrees two-theta), sorted by position:
2theta  d/Å  I_rel
16.6  5.326  57.9
17.0  5.226  99.5
23.7  3.748  33.3
23.9  3.730  100.0
24.4  3.645  31.6
33.7  2.663  40.4
34.3  2.613  63.8
48.8  1.865  44.5

Number 3 is which compound? DyErFe2Cl2